For CoBiH2O4, a PBE+U-relaxed structure gives the computed PXRD pattern in this record (Cu Kα (weighted mean of Kα1 and Kα2)).

Cell and atoms:
Cell lengths 4.652, 5.580, 6.265 Å; angles 90.00, 90.00, 90.00 degrees
Space group I222 (No. 23)
Inequivalent atoms, fractional coordinates:
1 Co 0.000 0.000 0.000
2 Bi 0.000 0.000 0.500
3 H 0.000 0.500 0.317
4 O 0.222 0.383 0.312

Peak list (12 most intense, 2θ = 10–90°, low angle first)
2θ/deg	d_spacing	I_rel
21.32	4.167	31
23.82	3.735	37
24.92	3.573	100
28.49	3.132	26
32.08	2.790	32
38.21	2.355	79
40.35	2.235	22
43.44	2.083	24
44.61	2.031	17
48.76	1.868	24
59.57	1.552	21
61.29	1.512	18